For LaV3O9, a structure optimized by DFT (PBE+U) gives the simulated X-ray diffraction stick pattern in this record (Cu Kα, 1.54184 Å).

Structural model:
Unit cell a=5.072 b=9.631 c=7.516 alpha=90.00 beta=99.80 gamma=90.00
Space group P2_1/m (No. 11)
One atom of each set of equivalent atoms:
La (0.085, 0.250, 0.001) (multiplicity 2)
V (0.262, 0.750, 0.653) (multiplicity 2)
V (0.440, 0.572, 0.301) (multiplicity 4)
O (0.067, 0.250, 0.350) (multiplicity 2)
O (0.219, 0.012, 0.146) (multiplicity 4)
O (0.277, 0.750, 0.274) (multiplicity 2)
O (0.287, 0.111, 0.786) (multiplicity 4)
O (0.382, 0.750, 0.878) (multiplicity 2)
O (0.387, 0.592, 0.560) (multiplicity 4)

Main lines, by angle (5 to 70 degrees two-theta):
- d = 4.515 Å, I 69, (1 0 -1)
- d = 4.037 Å, I 61, (0 2 1)
- d = 3.850 Å, I 54, (1 0 1)
- d = 3.575 Å, I 81, (1 1 1)
- d = 3.467 Å, I 100, (1 2 0)
- d = 3.252 Å, I 60, (1 0 -2)